Calculated powder diffractogram of Sr2CrCO3F5 for Cu Kα, from DFT lattice parameters and positions (PBE+U).

The 10 most intense peaks (2θ from 10° to 90°), sorted by position:
Position (°2θ)	d/Å	I_rel	(hkl)
25.5	3.490	1000	1 2 -1
26.7	3.338	180	0 0 4
27.3	3.263	220	1 0 -4
27.8	3.205	161	1 2 1
28.2	3.164	223	0 2 3
40.1	2.249	151	0 4 0
40.5	2.225	149	0 0 6
45.5	1.992	251	2 2 -5
49.2	1.852	147	1 4 -4
53.8	1.704	161	3 2 -1

Structural model:
abc: 5.581 8.997 13.882
angles: 90.00 105.88 90.00
Element x y z (fractional)
1 Sr 0.189 0.107 0.402
2 Sr 0.189 0.393 0.902
3 Sr 0.193 0.643 0.413
4 Sr 0.193 0.857 0.913
5 Sr 0.807 0.143 0.087
6 Sr 0.807 0.357 0.587
7 Sr 0.811 0.607 0.098
8 Sr 0.811 0.893 0.598
9 Cr 0.307 0.627 0.670
10 Cr 0.307 0.873 0.170
11 Cr 0.693 0.127 0.830
12 Cr 0.693 0.373 0.330
13 C 0.319 0.123 0.635
14 C 0.319 0.377 0.135
15 C 0.681 0.623 0.865
16 C 0.681 0.877 0.365
17 O 0.086 0.120 0.582
18 O 0.086 0.380 0.082
19 O 0.363 0.128 0.732
20 O 0.363 0.372 0.232
21 O 0.494 0.120 0.590
22 O 0.494 0.380 0.090
23 O 0.506 0.620 0.910
24 O 0.506 0.880 0.410
25 O 0.637 0.628 0.768
26 O 0.637 0.872 0.268
27 O 0.914 0.620 0.918
28 O 0.914 0.880 0.418
29 F 0.020 0.129 0.934
30 F 0.020 0.371 0.434
31 F 0.169 0.036 0.229
32 F 0.169 0.464 0.729
33 F 0.169 0.718 0.236
34 F 0.169 0.782 0.736
35 F 0.403 0.722 0.087
36 F 0.403 0.778 0.587
37 F 0.421 0.015 0.087
38 F 0.421 0.485 0.587
39 F 0.579 0.515 0.413
40 F 0.579 0.985 0.913
41 F 0.597 0.222 0.413
42 F 0.597 0.278 0.913
43 F 0.831 0.218 0.264
44 F 0.831 0.282 0.764
45 F 0.831 0.536 0.271
46 F 0.831 0.964 0.771
47 F 0.980 0.629 0.566
48 F 0.980 0.871 0.066